Entry 1:
This entry pairs a crystal structure of CeDyMg2 with its calculated PXRD pattern. Radiation: λ = 1.5418 Å (Cu Kα). Structure: the GGA-PBE geometry in the Materials Project.

Cell: 7.6271 7.6271 7.6271 Å, 90.00 90.00 90.00°
Element x y z (fractional)
Ce 0.0000 0.0000 0.0000
Ce 0.0000 0.5000 0.5000
Ce 0.5000 0.0000 0.5000
Ce 0.5000 0.5000 0.0000
Dy 0.0000 0.0000 0.5000
Dy 0.0000 0.5000 0.0000
Dy 0.5000 0.0000 0.0000
Dy 0.5000 0.5000 0.5000
Mg 0.2500 0.2500 0.2500
Mg 0.2500 0.2500 0.7500
Mg 0.2500 0.7500 0.2500
Mg 0.2500 0.7500 0.7500
Mg 0.7500 0.2500 0.2500
Mg 0.7500 0.2500 0.7500
Mg 0.7500 0.7500 0.2500
Mg 0.7500 0.7500 0.7500

Most intense lines, 2θ = 15–90°, most intense first:
| 2theta | I/Imax |
| --- | --- |
| 33.22 | 100 |
| 23.33 | 61 |
| 59.36 | 37 |
| 53.75 | 26 |
| 40.99 | 19 |
| 47.70 | 18 |


Entry 2:
This entry pairs a crystal structure of NaDyCl4 with its calculated PXRD pattern. Radiation: λ = 1.5418 Å (Cu Kα). Structure: the GGA-PBE geometry in the Materials Project.

Cell: 6.6949 6.7861 7.0792 Å, 89.61 88.07 78.47°
Element x y z (fractional)
Na 0.2313 0.1980 0.0355
Na 0.7687 0.8020 0.9645
Dy 0.2109 0.7002 0.4453
Dy 0.7891 0.2998 0.5547
Cl 0.0469 0.5034 0.7400
Cl 0.0953 0.0020 0.7050
Cl 0.3875 0.7925 0.1350
Cl 0.4333 0.3148 0.3826
Cl 0.5667 0.6852 0.6174
Cl 0.6125 0.2075 0.8650
Cl 0.9047 0.9980 0.2950
Cl 0.9531 0.4966 0.2600

Most intense lines, 2θ = 15–90°, most intense first:
| 2theta | I/Imax |
| --- | --- |
| 20.86 | 100 |
| 21.42 | 93 |
| 30.93 | 78 |
| 16.99 | 76 |
| 30.21 | 75 |
| 37.10 | 61 |


Entry 3:
This entry pairs a crystal structure of TeI4 with its calculated PXRD pattern. Radiation: λ = 1.5418 Å (Cu Kα). Structure: the GGA-PBE geometry in the Materials Project.

Cell: 14.0121 14.0121 14.0121 Å, 101.31 101.31 127.43°
Element x y z (fractional)
Te 0.2336 0.3460 0.6124
Te 0.2336 0.6212 0.8876
Te 0.3460 0.2336 0.1124
Te 0.3788 0.7664 0.6124
Te 0.6212 0.2336 0.3876
Te 0.6540 0.7664 0.8876
Te 0.7664 0.3788 0.1124
Te 0.7664 0.6540 0.3876
I 0.0090 0.1344 0.6254
I 0.0090 0.3837 0.8746
I 0.1278 0.2517 0.3898
I 0.1278 0.7379 0.8761
I 0.1307 0.5025 0.6282
I 0.1344 0.0090 0.1254
I 0.2517 0.1278 0.8898
I 0.2517 0.3619 0.1239
I 0.2621 0.6381 0.3898
I 0.2621 0.8722 0.6239
I 0.3619 0.2517 0.6239
I 0.3619 0.7379 0.1102
I 0.3743 0.5025 0.8718
I 0.3837 0.0090 0.3746
I 0.4975 0.6257 0.6282
I 0.4975 0.8693 0.8718
I 0.5025 0.1307 0.1282
I 0.5025 0.3743 0.3718
I 0.6163 0.9910 0.6254
I 0.6257 0.4975 0.1282
I 0.6381 0.2621 0.8898
I 0.6381 0.7483 0.3761
I 0.7379 0.1278 0.3761
I 0.7379 0.3619 0.6102
I 0.7483 0.6381 0.8761
I 0.7483 0.8722 0.1102
I 0.8656 0.9910 0.8746
I 0.8693 0.4975 0.3718
I 0.8722 0.2621 0.1239
I 0.8722 0.7483 0.6102
I 0.9910 0.6163 0.1254
I 0.9910 0.8656 0.3746

Most intense lines, 2θ = 15–90°, most intense first:
| 2theta | I/Imax |
| --- | --- |
| 24.65 | 100 |
| 28.42 | 91 |
| 40.88 | 64 |
| 28.77 | 44 |
| 40.63 | 34 |
| 50.54 | 33 |